# MnSnPHS
Calculated X-ray powder pattern, Cu Kα. Input: a crystal structure in Alexandria, relaxed with PBE.
No peak broadening, texture or thermal motion is included.

Peak list (8 most intense, 5 to 70 degrees two-theta, by angle)
2θ/deg, I_rel
12.02, 44.3
24.17, 44.3
29.23, 56.4
34.02, 65.3
37.80, 84.4
41.37, 100.0
42.17, 42.1
51.76, 58.0

Structural model:
abc: 7.528 7.528 3.119
angles: 90.10 90.10 23.95
Positions (direct):
Mn  0.000  0.000  0.000
Sn  0.791  0.791  0.998
P  0.425  0.425  0.500
H  0.546  0.546  0.001
S  0.112  0.112  0.501

***

# MnSnPHS
Calculated X-ray powder pattern, Cu Kα. Input: a crystal structure in Alexandria, relaxed with PBE.
No peak broadening, texture or thermal motion is included.

Peak list (8 most intense, 5 to 70 degrees two-theta, by angle)
2θ/deg, I_rel
17.61, 60.5
29.27, 41.8
31.54, 100.0
33.10, 40.0
40.59, 37.7
42.72, 51.5
44.18, 36.4
46.34, 39.5

Structural model:
abc: 4.638 4.638 5.079
angles: 96.93 96.93 45.72
Positions (direct):
Mn  0.000  0.000  0.000
Sn  0.304  0.304  0.230
P  0.603  0.603  0.874
H  0.054  0.054  0.316
S  0.801  0.801  0.649

***

# MnSnPHS
Calculated X-ray powder pattern, Cu Kα. Input: a crystal structure in Alexandria, relaxed with PBE.
No peak broadening, texture or thermal motion is included.

Peak list (8 most intense, 5 to 70 degrees two-theta, by angle)
2θ/deg, I_rel
19.09, 100.0
28.72, 53.8
33.05, 62.1
36.31, 33.4
37.30, 50.3
39.66, 33.2
46.41, 38.5
48.22, 50.0

Structural model:
abc: 5.202 5.202 4.872
angles: 106.43 106.43 36.90
Positions (direct):
Mn  0.000  0.000  0.000
Sn  0.726  0.726  0.953
P  0.427  0.427  0.669
H  0.287  0.287  0.463
S  0.549  0.549  0.361

***

# MnSnPHS
Calculated X-ray powder pattern, Cu Kα. Input: a crystal structure in Alexandria, relaxed with PBE.
No peak broadening, texture or thermal motion is included.

Peak list (8 most intense, 5 to 70 degrees two-theta, by angle)
2θ/deg, I_rel
15.47, 100.0
15.89, 85.3
28.18, 55.7
29.39, 86.5
30.97, 44.0
46.81, 42.7
47.02, 41.6
47.73, 40.9

Structural model:
abc: 6.038 6.038 7.088
angles: 124.45 124.45 32.35
Positions (direct):
Mn  0.000  0.000  0.000
Sn  0.700  0.700  0.704
P  0.512  0.512  0.243
H  0.389  0.389  0.243
S  0.517  0.517  0.794

***

# MnSnPHS
Calculated X-ray powder pattern, Cu Kα. Input: a crystal structure in Alexandria, relaxed with PBE.
No peak broadening, texture or thermal motion is included.

Peak list (8 most intense, 5 to 70 degrees two-theta, by angle)
2θ/deg, I_rel
16.36, 100.0
16.76, 51.6
26.38, 28.4
27.49, 27.8
31.20, 40.9
31.84, 42.3
32.56, 42.3
42.78, 48.4

Structural model:
abc: 5.673 3.378 5.811
angles: 90.00 111.17 90.00
Positions (direct):
Mn  0.000  0.000  0.000
Sn  0.299  0.500  0.786
P  0.066  0.500  0.303
H  0.819  0.500  0.318
S  0.742  0.500  0.751

***

# MnSiPH
Calculated X-ray powder pattern, Cu Kα. Input: a crystal structure in Alexandria, relaxed with PBE.
No peak broadening, texture or thermal motion is included.

Peak list (8 most intense, 5 to 70 degrees two-theta, by angle)
2θ/deg, I_rel
22.05, 100.0
23.28, 62.3
34.36, 78.4
36.66, 53.9
44.97, 51.6
50.76, 40.0
51.97, 54.7
52.42, 60.1

Structural model:
abc: 4.253 4.253 4.869
angles: 121.90 121.90 39.00
Positions (direct):
Mn  0.000  0.000  0.000
Si  0.667  0.667  0.455
P  0.706  0.706  0.972
H  0.905  0.905  0.597

***

# MnSiPH
Calculated X-ray powder pattern, Cu Kα. Input: a crystal structure in Alexandria, relaxed with PBE.
No peak broadening, texture or thermal motion is included.

Peak list (8 most intense, 5 to 70 degrees two-theta, by angle)
2θ/deg, I_rel
11.45, 100.0
37.71, 7.9
38.60, 10.1
38.88, 10.5
42.33, 9.1
44.01, 6.8
44.49, 6.1
50.16, 5.1

Structural model:
abc: 2.843 2.844 7.744
angles: 86.50 87.25 60.02
Positions (direct):
Mn  0.000  0.000  0.000
Si  0.320  0.305  0.212
P  0.680  0.695  0.792
H  0.308  0.278  0.406

***

# MnSiPH
Calculated X-ray powder pattern, Cu Kα. Input: a crystal structure in Alexandria, relaxed with PBE.
No peak broadening, texture or thermal motion is included.

Peak list (8 most intense, 5 to 70 degrees two-theta, by angle)
2θ/deg, I_rel
18.75, 51.2
29.20, 32.0
34.93, 46.8
36.31, 77.1
42.96, 24.6
47.25, 100.0
48.65, 46.9
49.71, 36.8

Structural model:
abc: 2.903 3.058 4.733
angles: 90.00 90.00 90.00
Positions (direct):
Mn  0.000  0.000  0.000
Si  0.500  0.000  0.388
P  0.500  0.500  0.760
H  0.000  0.500  0.183

***

# MnSiPH
Calculated X-ray powder pattern, Cu Kα. Input: a crystal structure in Alexandria, relaxed with PBE.
No peak broadening, texture or thermal motion is included.

Peak list (8 most intense, 5 to 70 degrees two-theta, by angle)
2θ/deg, I_rel
18.43, 74.1
35.63, 69.8
43.27, 75.5
47.41, 22.8
48.79, 100.0
62.86, 23.0
66.12, 7.6
66.27, 5.9

Structural model:
abc: 2.957 2.957 4.814
angles: 90.00 90.00 90.00
Positions (direct):
Mn  0.000  0.000  0.000
Si  0.500  0.500  0.260
P  0.500  0.500  0.741
H  0.000  0.000  0.332

***

# PaMn2H4
Calculated X-ray powder pattern, Cu Kα. Input: a crystal structure in Alexandria, relaxed with PBE.
No peak broadening, texture or thermal motion is included.

Peak list (8 most intense, 5 to 70 degrees two-theta, by angle)
2θ/deg, I_rel
24.36, 23.5
24.99, 27.9
32.44, 37.6
32.93, 100.0
42.95, 15.9
43.25, 29.0
56.05, 16.4
62.60, 19.2

Structural model:
abc: 4.185 4.185 8.423
angles: 90.00 90.00 121.64
Positions (direct):
Pa  0.000  0.000  0.250
Pa  0.000  0.000  0.750
Mn  0.351  0.638  0.000
Mn  0.362  0.649  0.500
Mn  0.638  0.351  0.500
Mn  0.649  0.362  0.000
H  0.000  0.500  0.142
H  0.000  0.500  0.858
H  0.012  0.773  0.500
H  0.227  0.988  0.000
H  0.500  0.000  0.358
H  0.500  0.000  0.642
H  0.773  0.012  0.000
H  0.988  0.227  0.500

***

# MnH4Pd2
Calculated X-ray powder pattern, Cu Kα. Input: a crystal structure in Alexandria, relaxed with PBE.
No peak broadening, texture or thermal motion is included.

Peak list (8 most intense, 5 to 70 degrees two-theta, by angle)
2θ/deg, I_rel
34.44, 39.3
37.62, 100.0
38.02, 46.3
39.37, 43.0
42.62, 23.1
44.05, 27.1
48.16, 24.9
68.40, 28.3

Structural model:
abc: 4.945 4.945 8.311
angles: 90.00 90.00 146.32
Positions (direct):
Mn  0.107  0.893  0.750
Mn  0.893  0.107  0.250
H  0.000  0.000  0.000
H  0.000  0.000  0.500
H  0.280  0.720  0.125
H  0.280  0.720  0.375
H  0.480  0.520  0.750
H  0.520  0.480  0.250
H  0.720  0.280  0.625
H  0.720  0.280  0.875
Pd  0.367  0.633  0.572
Pd  0.367  0.633  0.928
Pd  0.633  0.367  0.072
Pd  0.633  0.367  0.428

***

# MnH7Pd5
Calculated X-ray powder pattern, Cu Kα. Input: a crystal structure in Alexandria, relaxed with PBE.
No peak broadening, texture or thermal motion is included.

Peak list (8 most intense, 5 to 70 degrees two-theta, by angle)
2θ/deg, I_rel
35.20, 37.4
36.68, 28.7
36.86, 40.5
36.97, 25.8
37.66, 100.0
38.02, 52.1
38.18, 38.6
41.94, 28.7

Structural model:
abc: 4.970 5.221 9.837
angles: 101.67 91.73 105.87
Positions (direct):
Mn  0.000  0.000  0.000
Mn  0.361  0.970  0.499
H  0.016  0.715  0.373
H  0.101  0.774  0.145
H  0.223  0.166  0.672
H  0.348  0.735  0.775
H  0.407  0.551  0.423
H  0.413  0.275  0.952
H  0.441  0.322  0.199
H  0.555  0.724  0.987
H  0.705  0.923  0.659
H  0.761  0.076  0.422
H  0.797  0.516  0.549
H  0.874  0.225  0.217
H  0.881  0.303  0.954
H  0.915  0.500  0.766
Pd  0.032  0.828  0.716
Pd  0.195  0.480  0.884
Pd  0.214  0.535  0.252
Pd  0.468  0.561  0.618
Pd  0.473  0.971  0.116
Pd  0.585  0.082  0.829
Pd  0.660  0.370  0.365
Pd  0.711  0.514  0.072
Pd  0.914  0.238  0.598
Pd  0.987  0.984  0.294

***

# PmMnH5
Calculated X-ray powder pattern, Cu Kα. Input: a crystal structure in Alexandria, relaxed with PBE.
No peak broadening, texture or thermal motion is included.

Peak list (8 most intense, 5 to 70 degrees two-theta, by angle)
2θ/deg, I_rel
22.60, 38.9
26.72, 69.0
27.45, 24.3
30.23, 100.0
36.91, 28.4
40.78, 88.2
46.15, 32.0
64.09, 22.5

Structural model:
abc: 4.530 4.530 4.530
angles: 131.51 114.97 85.13
Positions (direct):
Pm  0.000  0.000  0.000
Mn  0.500  0.500  0.000
H  0.083  0.336  0.747
H  0.411  0.664  0.747
H  0.500  0.000  0.500
H  0.589  0.336  0.253
H  0.917  0.664  0.253

***

# PrMnH5
Calculated X-ray powder pattern, Cu Kα. Input: a crystal structure in Alexandria, relaxed with PBE.
No peak broadening, texture or thermal motion is included.

Peak list (8 most intense, 5 to 70 degrees two-theta, by angle)
2θ/deg, I_rel
22.28, 36.1
26.38, 68.7
27.09, 22.6
29.81, 100.0
36.33, 28.5
40.22, 88.0
45.46, 32.2
63.17, 22.5

Structural model:
abc: 4.591 4.591 4.591
angles: 131.54 114.83 85.23
Positions (direct):
Pr  0.000  0.000  0.000
Mn  0.500  0.500  0.000
H  0.089  0.337  0.752
H  0.415  0.663  0.752
H  0.500  0.000  0.500
H  0.585  0.337  0.248
H  0.911  0.663  0.248